1.
Ca4Sb2S: theoretical PXRD pattern (Cu Kα), based on the PBE geometry in the Materials Project.
Peak positions follow from Bragg's law for the DFT cell and can differ from measured ones.

Principal peaks in the range 2θ = 10–90°, sorted by position:
2θ (°), I (rel.), index
13.39, 30, 1 0 1
23.15, 50, 1 1 2
23.61, 55, 2 1 1
29.73, 58, 1 0 3
30.71, 54, 3 0 1
30.83, 100, 3 1 0
35.72, 83, 2 1 3
36.55, 47, 3 2 1
43.80, 28, 4 0 2
45.67, 33, 3 2 3

Atomic structure:
Cell: 9.1728 9.1728 9.5403 Å, 90.00 90.00 90.00°
Space group I-42d (No. 122)
Asymmetric unit:
Ca (0.0702, 0.6920, 0.4445) (multiplicity 16)
Sb (0.1276, 0.7500, 0.1250) (multiplicity 8)
S (0.0000, 0.0000, 0.5000) (multiplicity 4)

=====

2.
MgTiVS4: theoretical PXRD pattern (Cu Kα), based on the PBE geometry in the Materials Project.
Peak positions follow from Bragg's law for the DFT cell and can differ from measured ones.

Principal peaks in the range 2θ = 10–90°, sorted by position:
2θ (°), I (rel.), index
14.77, 40, 0 1 1
15.03, 46, 1 0 1
28.49, 34, 1 2 1
28.91, 51, 1 0 3
34.77, 100, 2 2 0
34.98, 49, 0 0 4
45.93, 41, 3 2 1
49.28, 26, 0 4 0
50.15, 98, 2 2 4
50.68, 23, 4 0 0

Atomic structure:
Cell: 7.2048 7.3958 10.2598 Å, 90.00 90.00 90.00°
Space group Imma (No. 74)
Asymmetric unit:
Mg (0.0000, 0.2500, 0.1243) (multiplicity 4)
Ti (0.2500, 0.2500, 0.7500) (multiplicity 4)
V (0.0000, 0.0000, 0.5000) (multiplicity 4)
S (0.0000, 0.0186, 0.7409) (multiplicity 8)
S (0.2270, 0.2500, 0.5098) (multiplicity 8)

=====

3.
Ba2NdNbO6: theoretical PXRD pattern (Cu Kα), based on the PBE geometry in the Materials Project.
Peak positions follow from Bragg's law for the DFT cell and can differ from measured ones.

Principal peaks in the range 2θ = 10–90°, sorted by position:
2θ (°), I (rel.), index
17.62, 1, 1 1 1
28.96, 100, 2 2 0
34.10, 2, 3 1 1
35.67, 3, 2 2 2
41.42, 30, 4 0 0
51.34, 41, 4 2 2
60.02, 19, 4 4 0
68.00, 18, 6 2 0
75.55, 6, 4 4 4
82.85, 21, 6 4 2

Atomic structure:
Cell: 8.7191 8.7191 8.7191 Å, 90.00 90.00 90.00°
Space group Fm-3m (No. 225)
Asymmetric unit:
Ba (0.2500, 0.2500, 0.2500) (multiplicity 8)
Nd (0.0000, 0.0000, 0.0000) (multiplicity 4)
Nb (0.0000, 0.0000, 0.5000) (multiplicity 4)
O (0.0000, 0.0000, 0.2678) (multiplicity 24)

=====

4.
Te6Mo3WSe2: theoretical PXRD pattern (Cu Kα), based on the PBE geometry in the Materials Project.
Peak positions follow from Bragg's law for the DFT cell and can differ from measured ones.

Principal peaks in the range 2θ = 10–90°, sorted by position:
2θ (°), I (rel.), index
11.18, 92, 0 0 5
29.51, 58, 1 0 0
34.72, 100, 0 1 8
42.08, 66, 1 0 13
43.81, 22, 0 1 14
52.31, 41, 1 1 0
64.32, 17, 2 0 8
69.29, 15, 0 2 13
73.94, 19, 1 1 21
87.43, 16, 1 2 8

Atomic structure:
Cell: 3.4983 3.4983 39.5646 Å, 90.00 90.00 120.00°
Space group P3m1 (No. 156)
Asymmetric unit:
Te (0.0000, 0.0000, 0.0000) (multiplicity 1)
Te (0.0000, 0.0000, 0.0926) (multiplicity 1)
Te (0.0000, 0.0000, 0.3754) (multiplicity 1)
Te (0.0000, 0.0000, 0.4686) (multiplicity 1)
Te (0.6667, 0.3333, 0.5636) (multiplicity 1)
Te (0.6667, 0.3333, 0.6562) (multiplicity 1)
Mo (0.0000, 0.0000, 0.2342) (multiplicity 1)
Mo (0.0000, 0.0000, 0.6100) (multiplicity 1)
Mo (0.6667, 0.3333, 0.0463) (multiplicity 1)
W (0.6667, 0.3333, 0.4220) (multiplicity 1)
Se (0.6667, 0.3333, 0.1933) (multiplicity 1)
Se (0.6667, 0.3333, 0.2750) (multiplicity 1)

=====

5.
SrEu3: theoretical PXRD pattern (Cu Kα), based on the PBE geometry in the Materials Project.
Peak positions follow from Bragg's law for the DFT cell and can differ from measured ones.

Principal peaks in the range 2θ = 10–90°, sorted by position:
2θ (°), I (rel.), index
25.57, 23, 2 0 0
27.20, 26, 0 0 2
29.03, 100, 2 0 1
37.68, 17, 2 0 2
45.08, 20, 2 2 0
49.22, 24, 2 0 3
53.45, 24, 2 2 2
54.52, 18, 4 0 1
73.35, 14, 4 2 1
86.25, 10, 4 2 3

Atomic structure:
Cell: 8.0441 8.0441 6.5569 Å, 90.00 90.00 120.00°
Space group P6_3/mmc (No. 194)
Asymmetric unit:
Sr (0.3333, 0.6667, 0.2500) (multiplicity 2)
Eu (0.1645, 0.3291, 0.7500) (multiplicity 6)

=====

6.
CsHoZnSe3: theoretical PXRD pattern (Cu Kα), based on the PBE geometry in the Materials Project.
Peak positions follow from Bragg's law for the DFT cell and can differ from measured ones.

Principal peaks in the range 2θ = 10–90°, sorted by position:
2θ (°), I (rel.), index
10.86, 83, 0 2 0
19.47, 46, 0 2 2
26.95, 46, 1 3 0
28.16, 100, 1 3 1
31.55, 43, 1 3 2
32.55, 43, 0 0 4
38.69, 55, 1 5 2
43.38, 33, 2 0 0
49.76, 35, 1 3 5
51.38, 33, 1 7 3

Atomic structure:
Cell: 4.1717 16.2966 11.0026 Å, 90.00 90.00 90.00°
Space group Cmcm (No. 63)
Asymmetric unit:
Cs (0.0000, 0.2421, 0.2500) (multiplicity 4)
Ho (0.0000, 0.5000, 0.0000) (multiplicity 4)
Zn (0.0000, 0.0397, 0.7500) (multiplicity 4)
Se (0.0000, 0.1158, 0.5577) (multiplicity 8)
Se (0.0000, 0.4463, 0.7500) (multiplicity 4)